[1]
# Ba5Re3BrO15
Computed powder X-ray diffraction pattern, Cu Kα (weighted mean of Kα1 and Kα2). Input: a DFT-relaxed cell (GGA-PBE, the Materials Project).

a = 11.179 Å, b = 11.179 Å, c = 7.955 Å
α = 90.00°, β = 90.00°, γ = 120.00°
Fractional coordinates of all 48 atoms:
Ba: 0.000 0.268 0.000
Ba: 0.000 0.732 0.500
Ba: 0.268 0.000 0.000
Ba: 0.268 0.268 0.500
Ba: 0.333 0.667 0.260
Ba: 0.333 0.667 0.760
Ba: 0.667 0.333 0.260
Ba: 0.667 0.333 0.760
Ba: 0.732 0.000 0.500
Ba: 0.732 0.732 0.000
Re: 0.000 0.392 0.556
Re: 0.000 0.608 0.056
Re: 0.392 0.000 0.556
Re: 0.392 0.392 0.056
Re: 0.608 0.000 0.056
Re: 0.608 0.608 0.556
Br: 0.000 0.000 0.228
Br: 0.000 0.000 0.728
O: 0.000 0.299 0.377
O: 0.000 0.701 0.877
O: 0.130 0.553 0.017
O: 0.130 0.578 0.517
O: 0.131 0.390 0.696
O: 0.131 0.741 0.196
O: 0.259 0.390 0.196
O: 0.259 0.869 0.696
O: 0.299 0.000 0.377
O: 0.299 0.299 0.877
O: 0.390 0.131 0.696
O: 0.390 0.259 0.196
O: 0.422 0.553 0.517
O: 0.422 0.870 0.017
O: 0.447 0.578 0.017
O: 0.447 0.870 0.517
O: 0.553 0.130 0.017
O: 0.553 0.422 0.517
O: 0.578 0.130 0.517
O: 0.578 0.447 0.017
O: 0.610 0.741 0.696
O: 0.610 0.869 0.196
O: 0.701 0.000 0.877
O: 0.701 0.701 0.377
O: 0.741 0.131 0.196
O: 0.741 0.610 0.696
O: 0.869 0.259 0.696
O: 0.869 0.610 0.196
O: 0.870 0.422 0.017
O: 0.870 0.447 0.517

Principal peaks in the range 5° ≤ 2θ ≤ 70°, low angle first:
| 2θ (°) | Rel. int. |
| --- | --- |
| 19.41 | 21 |
| 22.35 | 24 |
| 26.82 | 88 |
| 27.52 | 100 |
| 27.64 | 89 |
| 35.28 | 32 |
| 39.40 | 29 |
| 42.08 | 22 |
| 48.83 | 22 |
| 51.24 | 22 |

***

[2]
# LiCuPO4
Computed powder X-ray diffraction pattern, Cu Kα (weighted mean of Kα1 and Kα2). Input: a DFT-relaxed cell (GGA-PBE, the Materials Project).

a = 9.899 Å, b = 4.937 Å, c = 6.971 Å
α = 90.00°, β = 90.00°, γ = 90.00°
Fractional coordinates of all 28 atoms:
Li: 0.156 0.194 0.000
Li: 0.344 0.694 0.500
Li: 0.656 0.306 0.000
Li: 0.844 0.806 0.500
Cu: 0.148 0.203 0.498
Cu: 0.352 0.703 0.998
Cu: 0.648 0.297 0.498
Cu: 0.852 0.797 0.998
P: 0.093 0.689 0.250
P: 0.407 0.189 0.750
P: 0.593 0.811 0.250
P: 0.907 0.311 0.750
O: 0.060 0.244 0.748
O: 0.117 0.378 0.248
O: 0.154 0.805 0.438
O: 0.160 0.811 0.068
O: 0.340 0.311 0.568
O: 0.346 0.305 0.938
O: 0.383 0.878 0.748
O: 0.440 0.744 0.248
O: 0.560 0.256 0.748
O: 0.617 0.122 0.248
O: 0.654 0.695 0.438
O: 0.660 0.689 0.068
O: 0.840 0.189 0.568
O: 0.846 0.195 0.938
O: 0.883 0.622 0.748
O: 0.940 0.756 0.248

Principal peaks in the range 5° ≤ 2θ ≤ 70°, low angle first:
| 2θ (°) | Rel. int. |
| --- | --- |
| 22.04 | 100 |
| 25.50 | 10 |
| 31.39 | 11 |
| 32.71 | 9 |
| 36.36 | 45 |
| 42.92 | 16 |
| 43.01 | 10 |
| 52.51 | 6 |
| 57.54 | 8 |
| 65.53 | 8 |

***

[3]
# Y2Ge5Ru3
Computed powder X-ray diffraction pattern, Cu Kα (weighted mean of Kα1 and Kα2). Input: a DFT-relaxed cell (GGA-PBE, the Materials Project).

a = 8.495 Å, b = 8.495 Å, c = 8.495 Å
α = 108.75°, β = 84.91°, γ = 140.11°
Fractional coordinates of all 20 atoms:
Y: 0.139 0.231 0.370
Y: 0.361 0.731 0.092
Y: 0.639 0.269 0.908
Y: 0.861 0.769 0.630
Ge: 0.043 0.750 0.293
Ge: 0.088 0.676 0.764
Ge: 0.250 0.250 0.000
Ge: 0.412 0.176 0.589
Ge: 0.457 0.750 0.707
Ge: 0.543 0.250 0.293
Ge: 0.588 0.824 0.411
Ge: 0.750 0.750 0.000
Ge: 0.912 0.324 0.236
Ge: 0.957 0.250 0.707
Ru: 0.148 0.909 0.056
Ru: 0.250 0.750 0.500
Ru: 0.352 0.409 0.761
Ru: 0.648 0.591 0.239
Ru: 0.750 0.250 0.500
Ru: 0.852 0.091 0.944

Principal peaks in the range 5° ≤ 2θ ≤ 70°, low angle first:
| 2θ (°) | Rel. int. |
| --- | --- |
| 33.86 | 64 |
| 34.40 | 90 |
| 35.91 | 90 |
| 38.90 | 36 |
| 40.28 | 34 |
| 42.49 | 100 |
| 43.35 | 23 |
| 45.40 | 35 |
| 57.14 | 32 |
| 64.29 | 23 |

***

[4]
# CaW6NCl18
Computed powder X-ray diffraction pattern, Cu Kα (weighted mean of Kα1 and Kα2). Input: a DFT-relaxed cell (GGA-PBE, the Materials Project).

a = 9.085 Å, b = 9.085 Å, c = 18.193 Å
α = 90.00°, β = 90.00°, γ = 120.00°
Fractional coordinates of all 52 atoms:
Ca: 0.000 0.000 0.000
Ca: 0.000 0.000 0.500
W: 0.184 0.701 0.165
W: 0.184 0.701 0.335
W: 0.299 0.483 0.165
W: 0.299 0.483 0.335
W: 0.483 0.184 0.665
W: 0.483 0.184 0.835
W: 0.517 0.816 0.165
W: 0.517 0.816 0.335
W: 0.701 0.517 0.665
W: 0.701 0.517 0.835
W: 0.816 0.299 0.665
W: 0.816 0.299 0.835
N: 0.333 0.667 0.250
N: 0.667 0.333 0.750
Cl: 0.030 0.254 0.598
Cl: 0.030 0.254 0.902
Cl: 0.053 0.469 0.750
Cl: 0.081 0.283 0.250
Cl: 0.107 0.483 0.073
Cl: 0.107 0.483 0.427
Cl: 0.202 0.919 0.250
Cl: 0.224 0.970 0.598
Cl: 0.224 0.970 0.902
Cl: 0.254 0.224 0.098
Cl: 0.254 0.224 0.402
Cl: 0.283 0.202 0.750
Cl: 0.376 0.893 0.073
Cl: 0.376 0.893 0.427
Cl: 0.416 0.947 0.750
Cl: 0.469 0.416 0.250
Cl: 0.483 0.376 0.573
Cl: 0.483 0.376 0.927
Cl: 0.517 0.624 0.073
Cl: 0.517 0.624 0.427
Cl: 0.531 0.584 0.750
Cl: 0.584 0.053 0.250
Cl: 0.624 0.107 0.573
Cl: 0.624 0.107 0.927
Cl: 0.717 0.798 0.250
Cl: 0.746 0.776 0.598
Cl: 0.746 0.776 0.902
Cl: 0.776 0.030 0.098
Cl: 0.776 0.030 0.402
Cl: 0.798 0.081 0.750
Cl: 0.893 0.517 0.573
Cl: 0.893 0.517 0.927
Cl: 0.919 0.717 0.750
Cl: 0.947 0.531 0.250
Cl: 0.970 0.746 0.098
Cl: 0.970 0.746 0.402

Principal peaks in the range 5° ≤ 2θ ≤ 70°, low angle first:
| 2θ (°) | Rel. int. |
| --- | --- |
| 9.72 | 20 |
| 11.25 | 12 |
| 12.26 | 100 |
| 27.00 | 12 |
| 30.05 | 8 |
| 31.64 | 7 |
| 33.56 | 7 |
| 40.00 | 8 |
| 41.69 | 7 |
| 42.57 | 22 |

***

[5]
# Nd2CdSe4
Computed powder X-ray diffraction pattern, Cu Kα (weighted mean of Kα1 and Kα2). Input: a DFT-relaxed cell (GGA-PBE, the Materials Project).

a = 7.774 Å, b = 7.774 Å, c = 7.774 Å
α = 110.82°, β = 110.82°, γ = 106.80°
Fractional coordinates of all 14 atoms:
Nd: 0.009 0.125 0.384
Nd: 0.375 0.991 0.116
Nd: 0.741 0.625 0.616
Nd: 0.875 0.259 0.884
Cd: 0.250 0.750 0.500
Cd: 0.500 0.500 0.000
Se: 0.004 0.742 0.124
Se: 0.119 0.996 0.737
Se: 0.132 0.508 0.763
Se: 0.258 0.382 0.263
Se: 0.492 0.254 0.624
Se: 0.618 0.881 0.876
Se: 0.631 0.868 0.376
Se: 0.746 0.369 0.237

Principal peaks in the range 5° ≤ 2θ ≤ 70°, low angle first:
| 2θ (°) | Rel. int. |
| --- | --- |
| 23.91 | 28 |
| 24.51 | 40 |
| 30.65 | 92 |
| 31.91 | 89 |
| 32.07 | 100 |
| 36.94 | 66 |
| 37.62 | 47 |
| 38.02 | 44 |
| 47.38 | 37 |
| 52.79 | 26 |

***

[6]
# In3Cu3O8
Computed powder X-ray diffraction pattern, Cu Kα (weighted mean of Kα1 and Kα2). Input: a DFT-relaxed cell (GGA-PBE, the Materials Project).

a = 6.026 Å, b = 6.190 Å, c = 10.258 Å
α = 89.96°, β = 89.83°, γ = 69.91°
Fractional coordinates of all 28 atoms:
In: 0.000 0.000 0.000
In: 0.015 0.960 0.333
In: 0.485 0.040 0.833
In: 0.500 0.000 0.500
In: 0.515 0.960 0.167
In: 0.985 0.040 0.667
Cu: 0.000 0.500 0.500
Cu: 0.016 0.515 0.807
Cu: 0.484 0.485 0.307
Cu: 0.500 0.500 0.000
Cu: 0.516 0.515 0.693
Cu: 0.984 0.485 0.193
O: 0.091 0.195 0.840
O: 0.109 0.174 0.490
O: 0.116 0.158 0.171
O: 0.161 0.521 0.344
O: 0.339 0.479 0.845
O: 0.384 0.842 0.671
O: 0.391 0.827 0.990
O: 0.409 0.805 0.341
O: 0.591 0.195 0.659
O: 0.609 0.173 0.010
O: 0.616 0.158 0.329
O: 0.661 0.521 0.155
O: 0.839 0.479 0.656
O: 0.884 0.842 0.829
O: 0.891 0.826 0.510
O: 0.909 0.805 0.160

Principal peaks in the range 5° ≤ 2θ ≤ 70°, low angle first:
| 2θ (°) | Rel. int. |
| --- | --- |
| 15.24 | 21 |
| 30.76 | 44 |
| 31.64 | 100 |
| 31.73 | 48 |
| 35.89 | 21 |
| 36.75 | 39 |
| 51.74 | 23 |
| 52.80 | 15 |
| 52.95 | 15 |
| 53.61 | 13 |

***

[7]
# HfMg6Si
Computed powder X-ray diffraction pattern, Cu Kα (weighted mean of Kα1 and Kα2). Input: a DFT-relaxed cell (GGA-PBE, the Materials Project).

a = 4.822 Å, b = 6.291 Å, c = 6.291 Å
α = 61.17°, β = 90.00°, γ = 90.00°
Fractional coordinates of all 8 atoms:
Hf: 0.000 0.000 0.000
Mg: 0.000 0.490 0.490
Mg: 0.000 0.490 0.991
Mg: 0.000 0.991 0.490
Mg: 0.500 0.160 0.653
Mg: 0.500 0.653 0.160
Mg: 0.500 0.655 0.655
Si: 0.500 0.139 0.139

Principal peaks in the range 5° ≤ 2θ ≤ 70°, low angle first:
| 2θ (°) | Rel. int. |
| --- | --- |
| 16.08 | 100 |
| 16.37 | 49 |
| 18.40 | 33 |
| 24.53 | 68 |
| 24.72 | 33 |
| 32.49 | 44 |
| 34.04 | 31 |
| 37.30 | 35 |
| 37.59 | 100 |
| 38.12 | 58 |